[1]
For LiFeP2O7, a crystal structure in Alexandria, relaxed with GGA+U gives the computed powder XRD pattern in this record (λ = 1.5418 Å (Cu Kα)).
No peak broadening, texture or thermal motion is included.

Atomic structure:
Cell: 6.7172 8.3678 9.1995 Å, 90.00 104.24 90.00°
Space group P2_1/m (No. 11)
Asymmetric unit:
Li 0.2367 0.0770 0.2506 x4
Fe 0.2507 0.0595 0.7497 x4
P 0.0016 0.7500 0.0580 x2
P 0.0791 0.7500 0.5264 x2
P 0.4209 0.7500 0.9752 x2
P 0.4970 0.2500 0.5545 x2
O 0.0183 0.0960 0.8520 x4
O 0.0827 0.5996 0.6198 x4
O 0.1124 0.2500 0.6087 x2
O 0.1224 0.2500 0.1027 x2
O 0.2438 0.7500 0.0617 x2
O 0.2614 0.7500 0.4452 x2
O 0.3694 0.2500 0.3947 x2
O 0.3847 0.2500 0.8916 x2
O 0.4133 0.5996 0.8818 x4
O 0.4790 0.0962 0.6454 x4

The 10 most intense peaks (5° ≤ 2θ ≤ 70°), low angle first:
h k l  two_theta  intensity
0 1 1  14.52  42.6
1 0 -1  14.74  72.1
1 0 1  18.75  45.6
1 2 -1  25.95  24.3
1 1 2  28.95  52.8
0 2 2  29.27  100.0
2 0 -2  29.74  72.4
2 2 0  34.95  27.8
1 3 2  42.32  23.5
1 3 4  57.33  25.2


[2]
For LiFePO4, a crystal structure in Alexandria, relaxed with GGA+U gives the computed powder XRD pattern in this record (λ = 1.5418 Å (Cu Kα)).
No peak broadening, texture or thermal motion is included.

Atomic structure:
Cell: 5.8870 7.5573 9.1453 Å, 105.52 99.76 98.34°
Space group P-1 (No. 2)
Asymmetric unit:
Li 0.0064 0.0130 0.2521 x2
Li 0.1303 0.5123 0.8922 x2
Fe 0.3756 0.4944 0.6374 x2
Fe 0.4995 0.9872 0.2407 x2
P 0.1838 0.7483 0.4368 x2
P 0.2997 0.2505 0.0611 x2
O 0.0616 0.3727 0.6481 x2
O 0.1120 0.3661 0.0419 x2
O 0.1838 0.8681 0.6028 x2
O 0.2549 0.1321 0.1736 x2
O 0.2582 0.8729 0.3377 x2
O 0.2995 0.1165 0.8986 x2
O 0.3606 0.6129 0.4544 x2
O 0.4495 0.6215 0.8667 x2

The 10 most intense peaks (5° ≤ 2θ ≤ 70°), low angle first:
h k l  two_theta  intensity
0 0 1  10.29  9.6
1 0 0  15.59  32.3
-1 1 1  20.87  50.9
1 0 -2  23.05  16.4
1 -2 0  26.71  11.8
1 1 1  27.18  100.0
0 2 -2  27.29  34.3
2 0 -2  33.79  10.2
2 -3 0  44.50  8.3
2 2 0  44.57  8.3


[3]
For LiFe2P2O8, a crystal structure in Alexandria, relaxed with GGA+U gives the computed powder XRD pattern in this record (λ = 1.5418 Å (Cu Kα)).
No peak broadening, texture or thermal motion is included.

Atomic structure:
Cell: 8.7081 5.3140 8.8179 Å, 90.00 112.75 90.00°
Space group Pc (No. 7)
Asymmetric unit:
Li 0.0000 0.1771 0.0000 x2
Fe 0.3522 0.3007 0.9030 x2
Fe 0.7912 0.1747 0.2367 x2
P 0.4162 0.1939 0.2267 x2
P 0.9469 0.3208 0.6468 x2
O 0.1392 0.3063 0.7328 x2
O 0.2497 0.2132 0.0715 x2
O 0.4269 0.3769 0.3653 x2
O 0.4537 0.0711 0.8018 x2
O 0.5429 0.2595 0.1447 x2
O 0.8687 0.1940 0.7581 x2
O 0.8952 0.3982 0.1162 x2
O 0.8976 0.1719 0.4847 x2

The 10 most intense peaks (5° ≤ 2θ ≤ 70°), low angle first:
h k l  two_theta  intensity
0 1 1  19.98  24.3
1 1 -1  20.68  100.0
0 0 2  21.86  19.7
2 0 0  22.14  66.4
1 1 -2  26.40  16.8
1 0 2  28.17  24.7
0 2 0  33.73  20.9
3 1 -1  35.29  15.4
2 1 -3  36.21  11.1
3 0 2  47.33  11.9


[4]
For LiFePO4, a crystal structure in Alexandria, relaxed with GGA+U gives the computed powder XRD pattern in this record (λ = 1.5418 Å (Cu Kα)).
No peak broadening, texture or thermal motion is included.

Atomic structure:
Cell: 5.1941 6.1566 10.4423 Å, 90.00 114.56 90.00°
Space group P2_1/c (No. 14)
Asymmetric unit:
Li 0.0873 0.1411 0.4260 x4
Fe 0.4606 0.6099 0.6647 x4
P 0.1061 0.6511 0.3658 x4
O 0.1881 0.6634 0.9757 x4
O 0.2197 0.1426 0.2251 x4
O 0.2219 0.0624 0.9497 x4
O 0.2547 0.6679 0.2622 x4

The 10 most intense peaks (5° ≤ 2θ ≤ 70°), low angle first:
h k l  two_theta  intensity
0 1 1  17.16  100.0
0 0 2  18.70  28.4
1 1 0  23.74  27.4
1 1 -2  24.94  55.6
0 1 3  31.78  70.0
1 2 -1  33.89  41.0
2 0 -2  34.68  30.7
1 1 2  35.05  25.1
1 2 1  38.18  38.7
2 1 -3  39.73  23.9